[1]
Structure and theoretical powder X-ray diffraction pattern of Hf4TiPb5O15 (a GGA-PBE-relaxed structure; Cu Kα X-rays).
Intensities are scaled so that the largest is 100.

Crystal structure
```
data_Hf4TiPb5O15
_chemical_formula_sum 'Hf8 Ti2 Pb10 O30'
_cell_length_a 5.8715
_cell_length_b 10.0836
_cell_length_c 13.0459
_cell_angle_alpha 75.07
_cell_angle_beta 77.65
_cell_angle_gamma 73.39
_space_group_name_H-M_alt 'P 1'
_space_group_IT_number 1
_space_group_name_Hall 'P 1'
loop_
_atom_site_label
_atom_site_type_symbol
_atom_site_fract_x
_atom_site_fract_y
_atom_site_fract_z
Hf1 Hf 0.0000 0.0000 0.0000
Hf2 Hf 0.0001 0.4997 0.5001
Hf3 Hf 0.1993 0.4025 0.1990
Hf4 Hf 0.1999 0.9025 0.6992
Hf5 Hf 0.3995 0.3005 0.8977
Hf6 Hf 0.4000 0.8003 0.3977
Hf7 Hf 0.7973 0.6016 0.7998
Hf8 Hf 0.7977 0.1016 0.2999
Ti1 Ti 0.6077 0.2004 0.5976
Ti2 Ti 0.6076 0.7007 0.0973
Pb1 Pb 0.0561 0.2461 0.7337
Pb2 Pb 0.0563 0.7458 0.2339
Pb3 Pb 0.2471 0.1480 0.4413
Pb4 Pb 0.2473 0.6476 0.9417
Pb5 Pb 0.4457 0.0421 0.1368
Pb6 Pb 0.4462 0.5415 0.6372
Pb7 Pb 0.6426 0.4505 0.3359
Pb8 Pb 0.6426 0.9504 0.8359
Pb9 Pb 0.8455 0.3495 0.0375
Pb10 Pb 0.8448 0.8494 0.5379
O1 O 0.0570 0.4716 0.3465
O2 O 0.0660 0.9365 0.3547
O3 O 0.0694 0.9342 0.8588
O4 O 0.0789 0.4619 0.8675
O5 O 0.1574 0.1644 0.9443
O6 O 0.1832 0.6517 0.4698
O7 O 0.2578 0.8725 0.5460
O8 O 0.2707 0.3340 0.0587
O9 O 0.2716 0.3334 0.5545
O10 O 0.2839 0.8581 0.0669
O11 O 0.3600 0.5686 0.1429
O12 O 0.3842 0.0564 0.6675
O13 O 0.4618 0.2703 0.7438
O14 O 0.4664 0.7378 0.7548
O15 O 0.4744 0.7329 0.2560
O16 O 0.4788 0.2634 0.2672
O17 O 0.5563 0.9671 0.3455
O18 O 0.5816 0.4542 0.8708
O19 O 0.6575 0.6725 0.9539
O20 O 0.6660 0.1333 0.9551
O21 O 0.6694 0.1366 0.4659
O22 O 0.6787 0.6584 0.4678
O23 O 0.7506 0.3578 0.5469
O24 O 0.7740 0.8459 0.0703
O25 O 0.8555 0.5441 0.1508
O26 O 0.8594 0.0698 0.1477
O27 O 0.8671 0.0677 0.6627
O28 O 0.8718 0.5323 0.6604
O29 O 0.9545 0.7683 0.7436
O30 O 0.9797 0.2562 0.2687
```

Most intense lines, 2θ = 15–90°, in order of falling intensity:
2θ = 30.7°, I = 100
2θ = 30.4°, I = 98
2θ = 43.8°, I = 49
2θ = 54.4°, I = 41
2θ = 54.6°, I = 21
2θ = 53.9°, I = 18
2θ = 72.5°, I = 17
2θ = 72.1°, I = 15


[2]
Structure and theoretical powder X-ray diffraction pattern of HfTiPb2O6 (a GGA-PBE-relaxed structure; Cu Kα X-rays).
Intensities are scaled so that the largest is 100.

Crystal structure
```
data_HfTiPb2O6
_chemical_formula_sum 'Hf1 Ti1 Pb2 O6'
_cell_length_a 5.8346
_cell_length_b 5.8346
_cell_length_c 5.8346
_cell_angle_alpha 121.43
_cell_angle_beta 121.43
_cell_angle_gamma 87.54
_space_group_name_H-M_alt 'P 1'
_space_group_IT_number 1
_space_group_name_Hall 'P 1'
loop_
_atom_site_label
_atom_site_type_symbol
_atom_site_fract_x
_atom_site_fract_y
_atom_site_fract_z
Hf1 Hf 0.0000 0.0000 0.0000
Ti1 Ti 0.5001 0.5001 0.0000
Pb1 Pb 0.2241 0.7241 0.5000
Pb2 Pb 0.7241 0.2241 0.5000
O1 O 0.2819 0.2819 0.0000
O2 O 0.2911 0.2911 0.5118
O3 O 0.2911 0.7793 0.0000
O4 O 0.7686 0.7686 0.0000
O5 O 0.7793 0.2911 0.0000
O6 O 0.7793 0.7793 0.4882
```

Most intense lines, 2θ = 15–90°, in order of falling intensity:
2θ = 30.7°, I = 100
2θ = 31.3°, I = 48
2θ = 55.4°, I = 39
2θ = 44.9°, I = 26
2θ = 54.1°, I = 21
2θ = 63.9°, I = 14
2θ = 18.8°, I = 14
2θ = 38.1°, I = 12